No. 1
# ZrZn11Au
Calculated powder diffractogram, Cu Kα (λ = 1.5418 Å). Input: the PBE geometry in Alexandria.
Lines closer than 0.1° are merged.

Peak list (8 most intense, 10 to 90 degrees two-theta, by angle)
Position (°2θ), I_rel
28.4, 28
35.1, 44
39.9, 100
40.7, 43
40.9, 45
41.1, 66
45.1, 39
45.2, 37

Crystal structure
Cell lengths 6.736, 6.736, 6.750 Å; angles 98.73, 98.73, 133.97 degrees
Fractional positions:
Zr 0.000 0.000 0.000
Zn 0.000 0.355 0.349
Zn 0.000 0.500 0.000
Zn 0.000 0.645 0.651
Zn 0.299 0.513 0.792
Zn 0.355 0.000 0.349
Zn 0.487 0.701 0.208
Zn 0.500 0.000 0.000
Zn 0.500 0.500 0.500
Zn 0.513 0.299 0.792
Zn 0.645 0.000 0.651
Zn 0.701 0.487 0.208
Au 0.000 0.000 0.500

=====

No. 2
# Li2IrRu
Calculated powder diffractogram, Cu Kα (λ = 1.5418 Å). Input: the PBE geometry in Alexandria.
Lines closer than 0.1° are merged.

Peak list (8 most intense, 10 to 90 degrees two-theta, by angle)
Position (°2θ), I_rel
19.6, 100
38.7, 18
39.3, 17
39.9, 19
40.0, 19
43.7, 29
44.3, 28
45.0, 23

Crystal structure
Cell lengths 2.644, 4.524, 4.591 Å; angles 90.00, 92.20, 90.00 degrees
Fractional positions:
Li 0.246 0.000 0.250
Li 0.754 0.000 0.750
Ir 0.000 0.500 0.500
Ru 0.500 0.500 0.000

=====

No. 3
# LaYMn2Si2
Calculated powder diffractogram, Cu Kα (λ = 1.5418 Å). Input: the PBE geometry in Alexandria.
Lines closer than 0.1° are merged.

Peak list (8 most intense, 10 to 90 degrees two-theta, by angle)
Position (°2θ), I_rel
25.4, 90
32.6, 100
34.2, 67
40.0, 93
46.0, 59
53.3, 59
57.5, 38
72.9, 32

Crystal structure
Cell lengths 3.949, 3.949, 7.640 Å; angles 90.00, 90.00, 90.00 degrees
Fractional positions:
La 0.000 0.000 0.000
Y 0.500 0.500 0.356
Mn 0.000 0.500 0.659
Mn 0.500 0.000 0.659
Si 0.000 0.000 0.474
Si 0.500 0.500 0.839

=====

Please write out number 2 again, unchanged.
# Li2IrRu
Calculated powder diffractogram, Cu Kα (λ = 1.5418 Å). Input: the PBE geometry in Alexandria.
Lines closer than 0.1° are merged.

Peak list (8 most intense, 10 to 90 degrees two-theta, by angle)
Position (°2θ), I_rel
19.6, 100
38.7, 18
39.3, 17
39.9, 19
40.0, 19
43.7, 29
44.3, 28
45.0, 23

Crystal structure
Cell lengths 2.644, 4.524, 4.591 Å; angles 90.00, 92.20, 90.00 degrees
Fractional positions:
Li 0.246 0.000 0.250
Li 0.754 0.000 0.750
Ir 0.000 0.500 0.500
Ru 0.500 0.500 0.000